Theoretical powder diffractogram
Compound: K3NdAs2S8
Radiation: Cu Kα (weighted mean of Kα1 and Kα2)
Structure: DFT lattice parameters and positions (GGA-PBE)
Lines closer than 0.1° are merged.

Structural model:
a = 10.515 Å, b = 19.099 Å, c = 8.984 Å
α = 90.00°, β = 117.17°, γ = 90.00°
Space group C2/c (No. 15)
Asymmetric unit:
K 0.000 0.000 0.000 (multiplicity 4)
K 0.000 0.239 0.250 (multiplicity 4)
K 0.000 0.496 0.250 (multiplicity 4)
Nd 0.000 0.257 0.750 (multiplicity 4)
As 0.218 0.377 0.105 (multiplicity 8)
S 0.013 0.357 0.517 (multiplicity 8)
S 0.184 0.177 0.652 (multiplicity 8)
S 0.201 0.171 0.058 (multiplicity 8)
S 0.246 0.012 0.870 (multiplicity 8)

Principal peaks in the range 2θ = 10–90°, sorted by position:
| Position (°2θ) | intensity | h k l |
| --- | --- | --- |
| 11.7 | 100 | 1 1 -1 |
| 19.4 | 19 | 2 2 -1 |
| 22.5 | 23 | 1 3 1 |
| 26.7 | 33 | 2 4 0 |
| 28.7 | 21 | 2 4 -2 |
| 29.1 | 29 | 0 4 2 |
| 35.6 | 18 | 2 0 2 |
| 35.7 | 25 | 2 6 -2 |
| 38.5 | 16 | 4 0 0 |
| 40.2 | 18 | 2 0 -4 |

***

Theoretical powder diffractogram
Compound: KNiAs2Pd
Radiation: Cu Kα (weighted mean of Kα1 and Kα2)
Structure: DFT lattice parameters and positions (GGA-PBE)
Lines closer than 0.1° are merged.

Structural model:
a = 5.543 Å, b = 6.729 Å, c = 6.434 Å
α = 90.00°, β = 110.74°, γ = 90.00°
Space group C2 (No. 5)
Asymmetric unit:
K 0.000 0.000 0.000 (multiplicity 2)
Ni 0.000 0.204 0.500 (multiplicity 2)
As 0.118 0.497 0.335 (multiplicity 4)
Pd 0.000 0.798 0.500 (multiplicity 2)

Principal peaks in the range 2θ = 10–90°, sorted by position:
| Position (°2θ) | intensity | h k l |
| --- | --- | --- |
| 14.7 | 100 | 0 0 1 |
| 29.6 | 17 | 1 1 1 |
| 31.6 | 41 | 1 1 -2 |
| 34.6 | 14 | 2 0 0 |
| 42.3 | 30 | 2 2 -1 |
| 44.0 | 13 | 1 3 0 |
| 46.0 | 15 | 2 2 -2 |
| 48.7 | 21 | 1 3 1 |
| 53.2 | 18 | 0 2 3 |
| 54.3 | 15 | 2 0 2 |

***

Theoretical powder diffractogram
Compound: KAsPdO
Radiation: Cu Kα (weighted mean of Kα1 and Kα2)
Structure: DFT lattice parameters and positions (GGA-PBE)
Lines closer than 0.1° are merged.

Structural model:
a = 3.480 Å, b = 7.767 Å, c = 6.079 Å
α = 90.00°, β = 90.00°, γ = 90.00°
Space group Pmc2_1 (No. 26)
Asymmetric unit:
K 0.000 0.114 0.000 (multiplicity 2)
As 0.000 0.336 0.462 (multiplicity 2)
Pd 0.500 0.500 0.193 (multiplicity 2)
O 0.500 0.326 0.942 (multiplicity 2)

Principal peaks in the range 2θ = 10–90°, sorted by position:
| Position (°2θ) | intensity | h k l |
| --- | --- | --- |
| 11.4 | 100 | 0 1 0 |
| 27.3 | 15 | 0 2 1 |
| 28.1 | 18 | 1 1 0 |
| 34.6 | 16 | 1 2 0 |
| 37.6 | 16 | 0 2 2 |
| 37.7 | 21 | 1 2 1 |
| 39.4 | 26 | 1 0 2 |
| 41.1 | 15 | 1 1 2 |
| 46.0 | 19 | 0 3 2 |
| 54.1 | 12 | 1 4 0 |

***

Theoretical powder diffractogram
Compound: KPmAsO
Radiation: Cu Kα (weighted mean of Kα1 and Kα2)
Structure: DFT lattice parameters and positions (GGA-PBE)
Lines closer than 0.1° are merged.

Structural model:
a = 4.550 Å, b = 6.695 Å, c = 5.910 Å
α = 90.00°, β = 90.00°, γ = 90.00°
Space group Pmc2_1 (No. 26)
Asymmetric unit:
K 0.000 0.100 0.000 (multiplicity 2)
Pm 0.500 0.255 0.502 (multiplicity 2)
As 0.000 0.493 0.266 (multiplicity 2)
O 0.500 0.000 0.252 (multiplicity 2)

Principal peaks in the range 2θ = 10–90°, sorted by position:
| Position (°2θ) | intensity | h k l |
| --- | --- | --- |
| 20.0 | 58 | 0 1 1 |
| 28.1 | 100 | 1 1 1 |
| 33.2 | 62 | 1 2 0 |
| 36.2 | 24 | 1 0 2 |
| 38.7 | 24 | 1 1 2 |
| 39.6 | 27 | 2 0 0 |
| 40.7 | 32 | 0 2 2 |
| 43.3 | 18 | 0 3 1 |
| 52.4 | 18 | 1 1 3 |
| 58.1 | 22 | 2 2 2 |

***

Copy entry 1 word for word.
Theoretical powder diffractogram
Compound: K3NdAs2S8
Radiation: Cu Kα (weighted mean of Kα1 and Kα2)
Structure: DFT lattice parameters and positions (GGA-PBE)
Lines closer than 0.1° are merged.

Structural model:
a = 10.515 Å, b = 19.099 Å, c = 8.984 Å
α = 90.00°, β = 117.17°, γ = 90.00°
Space group C2/c (No. 15)
Asymmetric unit:
K 0.000 0.000 0.000 (multiplicity 4)
K 0.000 0.239 0.250 (multiplicity 4)
K 0.000 0.496 0.250 (multiplicity 4)
Nd 0.000 0.257 0.750 (multiplicity 4)
As 0.218 0.377 0.105 (multiplicity 8)
S 0.013 0.357 0.517 (multiplicity 8)
S 0.184 0.177 0.652 (multiplicity 8)
S 0.201 0.171 0.058 (multiplicity 8)
S 0.246 0.012 0.870 (multiplicity 8)

Principal peaks in the range 2θ = 10–90°, sorted by position:
| Position (°2θ) | intensity | h k l |
| --- | --- | --- |
| 11.7 | 100 | 1 1 -1 |
| 19.4 | 19 | 2 2 -1 |
| 22.5 | 23 | 1 3 1 |
| 26.7 | 33 | 2 4 0 |
| 28.7 | 21 | 2 4 -2 |
| 29.1 | 29 | 0 4 2 |
| 35.6 | 18 | 2 0 2 |
| 35.7 | 25 | 2 6 -2 |
| 38.5 | 16 | 4 0 0 |
| 40.2 | 18 | 2 0 -4 |